Diffraction record for BaYCr4O7. The powder diffractogram is theoretical, not measured: it uses DFT lattice parameters and positions (PBE+U) and Cu Ka.
Peak positions follow from Bragg's law for the DFT cell and can differ from measured ones.

```
data_BaYCr4O7
_chemical_formula_sum 'Ba2 Y2 Cr8 O14'
_symmetry_space_group_name_H-M 'P 63 m c'
_symmetry_Int_Tables_number 186
_symmetry_space_group_name_Hall 'P 6c -2c'
_cell_length_a 6.3629
_cell_length_b 6.3629
_cell_length_c 11.1009
_cell_angle_alpha 90.00
_cell_angle_beta 90.00
_cell_angle_gamma 120.00
loop_
_atom_site_label
_atom_site_fract_x
_atom_site_fract_y
_atom_site_fract_z
Ba1 0.3333 0.6667 0.0000
Y1 0.3333 0.6667 0.4075
Cr1 0.0000 0.0000 0.4607
Cr2 0.1768 0.3537 0.7107
O1 0.0000 0.0000 0.2658
O2 0.0230 0.5115 0.8105
O3 0.1607 0.3214 0.5328
```

Principal peaks in the range 5° ≤ 2θ ≤ 70°, sorted by position:
| (hkl) | 2θ/deg | d (Å) | Rel. int. |
| --- | --- | --- | --- |
| 1 1 0 | 28.05 | 3.181 | 40 |
| 1 0 3 | 29.07 | 3.072 | 58 |
| 0 0 4 | 32.26 | 2.775 | 17 |
| 1 1 2 | 32.44 | 2.760 | 100 |
| 2 0 1 | 33.51 | 2.674 | 57 |
| 1 0 5 | 43.97 | 2.059 | 10 |
| 2 1 3 | 50.27 | 1.815 | 20 |
| 3 0 2 | 52.47 | 1.744 | 24 |
| 2 0 5 | 52.97 | 1.729 | 36 |
| 2 2 0 | 57.98 | 1.591 | 30 |